The following is a computed XRD peak list of Pm12AgPt6. It was derived from the GGA-PBE geometry in Alexandria, using Cu Kα X-rays.
Intensities are scaled so that the largest is 100.

Most intense lines, 2θ = 5–70°, in order of rising 2θ:
hkl, 2θ/deg, I (rel.)
1 1 0, 13.48, 16
3 -1 1, 22.02, 73
0 0 3, 22.74, 19
1 0 4, 31.50, 21
4 -1 2, 32.21, 23
4 1 0, 36.18, 100
3 -1 4, 37.10, 78
4 1 3, 43.16, 17
2 4 4, 52.79, 23
8 -5 4, 65.69, 21

```
data_Pm12AgPt6
_chemical_formula_sum 'Pm36 Ag3 Pt18'
_cell_length_a 13.1361
_cell_length_b 13.1361
_cell_length_c 11.7327
_cell_angle_alpha 90.00
_cell_angle_beta 90.00
_cell_angle_gamma 120.00
_space_group_name_H-M_alt 'R -3'
_space_group_IT_number 148
_space_group_name_Hall '-R 3'
loop_
_atom_site_label
_atom_site_fract_x
_atom_site_fract_y
_atom_site_fract_z
_atom_site_occupancy
Pm1 0.0310 0.8151 0.3922 1
Pm2 0.0401 0.8226 0.8883 1
Ag1 0.0000 0.0000 0.0000 1
Pt1 0.0454 0.7847 0.6478 1
```

=====

The following is a computed XRD peak list of Cs2PuCrBr6. It was derived from the GGA-PBE geometry in Alexandria, using Cu Kα X-rays.
Intensities are scaled so that the largest is 100.

Most intense lines, 2θ = 5–70°, in order of rising 2θ:
hkl, 2θ/deg, I (rel.)
1 0 0, 12.85, 36
1 0 1, 18.18, 22
1 1 0, 22.35, 24
0 0 2, 25.80, 14
0 2 1, 28.95, 100
2 0 2, 36.84, 49
1 2 2, 43.51, 14
2 2 0, 45.62, 27
2 0 3, 47.47, 18
4 0 1, 54.93, 19

```
data_Cs2PuCrBr6
_chemical_formula_sum 'Cs2 Pu1 Cr1 Br6'
_cell_length_a 7.9548
_cell_length_b 7.9548
_cell_length_c 6.9145
_cell_angle_alpha 90.00
_cell_angle_beta 90.00
_cell_angle_gamma 120.00
_space_group_name_H-M_alt 'P -3 m 1'
_space_group_IT_number 164
_space_group_name_Hall '-P 3 2"'
loop_
_atom_site_label
_atom_site_fract_x
_atom_site_fract_y
_atom_site_fract_z
_atom_site_occupancy
Cs1 0.3333 0.6667 0.2240 1
Pu1 0.0000 0.0000 0.5000 1
Cr1 0.0000 0.0000 0.0000 1
Br1 0.1645 0.3290 0.7661 1
```

=====

The following is a computed XRD peak list of ReP5. It was derived from the GGA-PBE geometry in Alexandria, using Cu Kα X-rays.
Intensities are scaled so that the largest is 100.

Most intense lines, 2θ = 5–70°, in order of rising 2θ:
hkl, 2θ/deg, I (rel.)
0 0 1, 11.28, 100
2 0 0, 20.48, 27
2 0 -1, 23.20, 18
2 0 1, 23.67, 15
1 1 0, 30.80, 11
1 1 1, 32.99, 26
0 0 3, 34.31, 14
1 1 -2, 38.44, 19
1 1 2, 38.74, 12
3 1 0, 42.90, 12

```
data_ReP5
_chemical_formula_sum 'Re2 P10'
_cell_length_a 8.6775
_cell_length_b 3.0804
_cell_length_c 7.8438
_cell_angle_alpha 90.00
_cell_angle_beta 91.34
_cell_angle_gamma 90.00
_space_group_name_H-M_alt 'C 1 m 1'
_space_group_IT_number 8
loop_
_space_group_symop_operation_xyz
'x,y,z'
'x,-y,z'
'x+1/2,y+1/2,z'
'x+1/2,-y+1/2,z'
loop_
_atom_site_label
_atom_site_fract_x
_atom_site_fract_y
_atom_site_fract_z
_atom_site_occupancy
Re1 0.0000 0.0000 0.0000 1
P1 0.0287 0.5000 0.7569 1
P2 0.0869 0.5000 0.2520 1
P3 0.2796 0.0000 0.6576 1
P4 0.2846 0.0000 0.9452 1
P5 0.4167 0.5000 0.3086 1
```

=====

The following is a computed XRD peak list of Sm2Al7. It was derived from the GGA-PBE geometry in Alexandria, using Cu Kα X-rays.
Intensities are scaled so that the largest is 100.

Most intense lines, 2θ = 5–70°, in order of rising 2θ:
hkl, 2θ/deg, I (rel.)
1 0 1, 18.46, 63
0 0 9, 20.02, 23
1 0 10, 28.99, 76
0 1 11, 30.79, 44
1 1 0, 32.02, 74
0 2 1, 37.21, 40
1 1 9, 38.05, 100
2 1 10, 55.22, 27
3 0 9, 61.10, 25
2 2 0, 66.95, 19

```
data_Sm2Al7
_chemical_formula_sum 'Sm12 Al42'
_cell_length_a 5.5906
_cell_length_b 5.5906
_cell_length_c 39.9177
_cell_angle_alpha 90.00
_cell_angle_beta 90.00
_cell_angle_gamma 120.00
_space_group_name_H-M_alt 'R -3 m'
_space_group_IT_number 166
_space_group_name_Hall '-R 3 2"'
loop_
_atom_site_label
_atom_site_fract_x
_atom_site_fract_y
_atom_site_fract_z
_atom_site_occupancy
Sm1 0.0000 0.0000 0.0523 1
Sm2 0.0000 0.0000 0.1496 1
Al1 0.0000 0.0000 0.2787 1
Al2 0.0000 0.0000 0.3887 1
Al3 0.0000 0.0000 0.5000 1
Al4 0.0000 0.5000 0.0000 1
Al5 0.0048 0.5024 0.8896 1
```

=====

The following is a computed XRD peak list of La2ZnNiH. It was derived from the GGA-PBE geometry in Alexandria, using Cu Kα X-rays.
Intensities are scaled so that the largest is 100.

Most intense lines, 2θ = 5–70°, in order of rising 2θ:
hkl, 2θ/deg, I (rel.)
1 1 0, 25.10, 90
2 0 0, 28.86, 60
1 0 2, 30.59, 50
0 1 2, 31.41, 72
1 1 -2, 32.07, 100
2 0 -2, 32.58, 54
1 1 2, 37.12, 76
2 1 -2, 38.81, 48
0 2 0, 41.72, 58
3 1 0, 48.92, 47

```
data_La2ZnNiH
_chemical_formula_sum 'La4 Zn2 Ni2 H2'
_cell_length_a 6.3828
_cell_length_b 4.3298
_cell_length_c 7.8036
_cell_angle_alpha 90.00
_cell_angle_beta 104.25
_cell_angle_gamma 90.00
_space_group_name_H-M_alt 'P 1 21/m 1'
_space_group_IT_number 11
loop_
_space_group_symop_operation_xyz
'x,y,z'
'-x,-y,-z'
'-x,y+1/2,-z'
'x,-y+1/2,z'
loop_
_atom_site_label
_atom_site_fract_x
_atom_site_fract_y
_atom_site_fract_z
_atom_site_occupancy
La1 0.2295 0.2500 0.4166 1
La2 0.2369 0.2500 0.9678 1
Zn1 0.3388 0.7500 0.7134 1
Ni1 0.4365 0.7500 0.2341 1
H1 0.1697 0.7500 0.1775 1
```

=====

The following is a computed XRD peak list of LiCuSi2O5. It was derived from the GGA-PBE geometry in Alexandria, using Cu Kα X-rays.
Intensities are scaled so that the largest is 100.

Most intense lines, 2θ = 5–70°, in order of rising 2θ:
hkl, 2θ/deg, I (rel.)
0 0 1, 11.58, 28
1 0 -1, 16.58, 22
0 0 2, 23.27, 12
1 1 -1, 24.43, 100
1 1 -2, 29.86, 19
2 0 -1, 30.79, 23
2 0 0, 32.46, 25
0 2 0, 36.09, 35
1 1 2, 37.26, 14
3 1 -2, 51.24, 13

```
data_LiCuSi2O5
_chemical_formula_sum 'Li2 Cu2 Si4 O10'
_cell_length_a 5.8146
_cell_length_b 4.9770
_cell_length_c 8.0575
_cell_angle_alpha 90.00
_cell_angle_beta 108.44
_cell_angle_gamma 90.00
_space_group_name_H-M_alt 'P 1 21 1'
_space_group_IT_number 4
loop_
_space_group_symop_operation_xyz
'x,y,z'
'-x,y+1/2,-z'
loop_
_atom_site_label
_atom_site_fract_x
_atom_site_fract_y
_atom_site_fract_z
_atom_site_occupancy
Li1 0.0586 0.0000 0.3125 1
Cu1 0.0042 0.5446 0.1263 1
Si1 0.3534 0.4981 0.5130 1
Si2 0.4547 0.9772 0.0980 1
O1 0.1124 0.6052 0.3699 1
O2 0.1892 0.0429 0.1136 1
O3 0.3260 0.5237 0.7111 1
O4 0.4025 0.1750 0.4838 1
O5 0.4683 0.6606 0.0445 1
```

=====

The following is a computed XRD peak list of PuThTi. It was derived from the GGA-PBE geometry in Alexandria, using Cu Kα X-rays.
Intensities are scaled so that the largest is 100.

Most intense lines, 2θ = 5–70°, in order of rising 2θ:
hkl, 2θ/deg, I (rel.)
1 0 0, 20.28, 36
1 0 1, 33.97, 100
1 1 0, 35.51, 71
2 0 0, 41.24, 6
2 0 1, 49.96, 35
0 0 2, 55.56, 12
1 0 2, 59.79, 4
2 1 1, 62.79, 35
3 0 0, 63.77, 13
1 1 2, 67.72, 22

```
data_PuThTi
_chemical_formula_sum 'Pu1 Th1 Ti1'
_cell_length_a 5.0557
_cell_length_b 5.0557
_cell_length_c 3.3068
_cell_angle_alpha 90.00
_cell_angle_beta 90.00
_cell_angle_gamma 120.00
_space_group_name_H-M_alt 'P -6 m 2'
_space_group_IT_number 187
_space_group_name_Hall 'P -6 2'
loop_
_atom_site_label
_atom_site_fract_x
_atom_site_fract_y
_atom_site_fract_z
_atom_site_occupancy
Pu1 0.0000 0.0000 0.0000 1
Th1 0.3333 0.6667 0.5000 1
Ti1 0.6667 0.3333 0.0000 1
```

=====

The following is a computed XRD peak list of AlTlTe2Au. It was derived from the GGA-PBE geometry in Alexandria, using Cu Kα X-rays.
Intensities are scaled so that the largest is 100.

Most intense lines, 2θ = 5–70°, in order of rising 2θ:
hkl, 2θ/deg, I (rel.)
0 0 1, 16.97, 19
1 0 1, 22.89, 100
1 1 1, 27.63, 36
2 0 0, 30.79, 80
0 0 2, 34.32, 30
2 1 1, 38.72, 53
2 2 0, 44.11, 30
2 0 2, 46.77, 51
2 2 2, 57.05, 28
3 2 1, 60.11, 15

```
data_AlTlTe2Au
_chemical_formula_sum 'Al1 Tl1 Te2 Au1'
_cell_length_a 5.8075
_cell_length_b 5.8075
_cell_length_c 5.2257
_cell_angle_alpha 90.00
_cell_angle_beta 90.00
_cell_angle_gamma 90.00
_space_group_name_H-M_alt 'P 4/m m m'
_space_group_IT_number 123
_space_group_name_Hall '-P 4 2'
loop_
_atom_site_label
_atom_site_fract_x
_atom_site_fract_y
_atom_site_fract_z
_atom_site_occupancy
Al1 0.0000 0.0000 0.0000 1
Tl1 0.0000 0.0000 0.5000 1
Te1 0.0000 0.5000 0.5000 1
Au1 0.5000 0.5000 0.0000 1
```

=====

The following is a computed XRD peak list of Ba2TmTcN4. It was derived from the GGA-PBE geometry in Alexandria, using Cu Kα X-rays.
Intensities are scaled so that the largest is 100.

Most intense lines, 2θ = 5–70°, in order of rising 2θ:
hkl, 2θ/deg, I (rel.)
0 0 4, 16.97, 56
1 1 1, 17.52, 22
1 1 3, 21.27, 19
1 1 5, 27.34, 37
0 4 0, 29.61, 100
2 2 0, 34.37, 61
1 3 5, 34.61, 23
2 2 4, 38.57, 16
2 0 6, 40.53, 28
2 4 6, 50.99, 28

```
data_Ba2TmTcN4
_chemical_formula_sum 'Ba16 Tm8 Tc8 N32'
_cell_length_a 5.7863
_cell_length_b 12.0644
_cell_length_c 20.9059
_cell_angle_alpha 90.00
_cell_angle_beta 90.00
_cell_angle_gamma 90.00
_space_group_name_H-M_alt 'F d d d'
_space_group_IT_number 70
loop_
_space_group_symop_operation_xyz
'x,y,z'
'-x,-y,-z'
'-x+1/4,-y+1/4,z'
'x+1/4,y+1/4,-z'
'x,-y+1/4,-z+1/4'
'-x,y+1/4,z+1/4'
'-x+1/4,y,-z+1/4'
'x+1/4,-y,z+1/4'
'x,y+1/2,z+1/2'
'-x,-y+1/2,-z+1/2'
'-x+1/4,-y+3/4,z+1/2'
'x+1/4,y+3/4,-z+1/2'
'x,-y+3/4,-z+3/4'
'-x,y+3/4,z+3/4'
'-x+1/4,y+1/2,-z+3/4'
'x+1/4,-y+1/2,z+3/4'
'x+1/2,y,z+1/2'
'-x+1/2,-y,-z+1/2'
'-x+3/4,-y+1/4,z+1/2'
'x+3/4,y+1/4,-z+1/2'
'x+1/2,-y+1/4,-z+3/4'
'-x+1/2,y+1/4,z+3/4'
'-x+3/4,y,-z+3/4'
'x+3/4,-y,z+3/4'
'x+1/2,y+1/2,z'
'-x+1/2,-y+1/2,-z'
'-x+3/4,-y+3/4,z'
'x+3/4,y+3/4,-z'
'x+1/2,-y+3/4,-z+1/4'
'-x+1/2,y+3/4,z+1/4'
'-x+3/4,y+1/2,-z+1/4'
'x+3/4,-y+1/2,z+1/4'
loop_
_atom_site_label
_atom_site_fract_x
_atom_site_fract_y
_atom_site_fract_z
_atom_site_occupancy
Ba1 0.1250 0.1250 0.3090 1
Tm1 0.1250 0.1250 0.1250 1
Tc1 0.1250 0.1250 0.6250 1
N1 0.0830 0.2813 0.8325 1
```

=====

The following is a computed XRD peak list of BaP2PbO7. It was derived from the GGA-PBE geometry in Alexandria, using Cu Kα X-rays.
Intensities are scaled so that the largest is 100.

Most intense lines, 2θ = 5–70°, in order of rising 2θ:
hkl, 2θ/deg, I (rel.)
1 0 1, 11.58, 59
2 1 0, 24.83, 88
0 1 3, 25.06, 100
2 0 3, 27.54, 46
3 0 1, 29.77, 23
0 2 0, 31.40, 36
1 1 4, 32.10, 25
2 2 3, 42.25, 63
4 1 3, 46.95, 27
2 1 6, 47.35, 35

```
data_BaP2PbO7
_chemical_formula_sum 'Ba4 P8 Pb4 O28'
_cell_length_a 9.2308
_cell_length_b 5.6982
_cell_length_c 13.6349
_cell_angle_alpha 90.00
_cell_angle_beta 90.00
_cell_angle_gamma 90.00
_space_group_name_H-M_alt 'P n m a'
_space_group_IT_number 62
loop_
_space_group_symop_operation_xyz
'x,y,z'
'-x,-y,-z'
'-x+1/2,-y,z+1/2'
'x+1/2,y,-z+1/2'
'x+1/2,-y+1/2,-z+1/2'
'-x+1/2,y+1/2,z+1/2'
'-x,y+1/2,-z'
'x,-y+1/2,z'
loop_
_atom_site_label
_atom_site_fract_x
_atom_site_fract_y
_atom_site_fract_z
_atom_site_occupancy
Ba1 0.1621 0.2500 0.2381 1
P1 0.0403 0.2500 0.6798 1
P2 0.2205 0.7500 0.0333 1
Pb1 0.1362 0.2500 0.9135 1
O1 0.0897 0.0280 0.7347 1
O2 0.1119 0.2500 0.5708 1
O3 0.1235 0.7500 0.3373 1
O4 0.1460 0.5264 0.0724 1
O5 0.2286 0.7500 0.9214 1
```

=====

The following is a computed XRD peak list of TbNd12Er2. It was derived from the GGA-PBE geometry in Alexandria, using Cu Kα X-rays.
Intensities are scaled so that the largest is 100.

Most intense lines, 2θ = 5–70°, in order of rising 2θ:
hkl, 2θ/deg, I (rel.)
2 0 4, 28.60, 27
0 2 7, 29.35, 44
2 2 2, 30.04, 65
0 4 0, 30.73, 65
0 2 8, 32.54, 100
2 2 6, 36.41, 32
0 6 8, 55.80, 20
2 4 11, 57.47, 19
4 4 0, 60.44, 20
4 2 8, 61.52, 19

```
data_TbNd12Er2
_chemical_formula_sum 'Tb4 Nd48 Er8'
_cell_length_a 7.2050
_cell_length_b 11.6373
_cell_length_c 24.9943
_cell_angle_alpha 90.00
_cell_angle_beta 90.00
_cell_angle_gamma 90.00
_space_group_name_H-M_alt 'C m m e'
_space_group_IT_number 67
_space_group_name_Hall '-C 2a 2'
loop_
_atom_site_label
_atom_site_fract_x
_atom_site_fract_y
_atom_site_fract_z
_atom_site_occupancy
Tb1 0.0000 0.2500 0.0009 1
Nd1 0.0000 0.0019 0.9264 1
Nd2 0.0000 0.0238 0.4397 1
Nd3 0.2310 0.2500 0.5861 1
Nd4 0.2486 0.2500 0.1305 1
Nd5 0.2500 0.0000 0.1984 1
Nd6 0.2500 0.0000 0.3240 1
Er1 0.0000 0.2500 0.2701 1
Er2 0.0000 0.2500 0.7335 1
```

=====

The following is a computed XRD peak list of AcYRh. It was derived from the GGA-PBE geometry in Alexandria, using Cu Kα X-rays.
Intensities are scaled so that the largest is 100.

Most intense lines, 2θ = 5–70°, in order of rising 2θ:
hkl, 2θ/deg, I (rel.)
1 1 1, 13.90, 25
1 3 1, 23.36, 32
0 4 0, 26.53, 24
2 2 2, 28.02, 100
1 1 3, 31.10, 49
3 3 1, 31.71, 57
1 3 3, 36.51, 62
5 1 1, 39.76, 32
3 5 1, 41.81, 28
2 6 2, 47.76, 25

```
data_AcYRh
_chemical_formula_sum 'Ac16 Y16 Rh16'
_cell_length_a 11.8832
_cell_length_b 13.4384
_cell_length_c 9.1166
_cell_angle_alpha 90.00
_cell_angle_beta 90.00
_cell_angle_gamma 90.00
_space_group_name_H-M_alt 'F d d 2'
_space_group_IT_number 43
_space_group_name_Hall 'F 2 -2d'
loop_
_atom_site_label
_atom_site_fract_x
_atom_site_fract_y
_atom_site_fract_z
_atom_site_occupancy
Ac1 0.1106 0.3532 0.0000 1
Y1 0.0356 0.3726 0.5923 1
Rh1 0.0569 0.2753 0.3134 1
```